# 1
Structure and theoretical X-ray powder pattern of KRbAsSe2 (DFT lattice parameters and positions (GGA-PBE); copper Kα).
Peak positions follow from Bragg's law for the DFT cell and can differ from measured ones.

abc: 6.7328 13.8482 6.6114
angles: 90.00 90.00 90.00
Space group Cmme (No. 67)
Asymmetric unit:
K: 0.2500 0.0000 0.0000 (multiplicity 4)
Rb: 0.0000 0.2500 0.2513 (multiplicity 4)
As: 0.0000 0.0000 0.5000 (multiplicity 4)
Se: 0.0000 0.1549 0.7312 (multiplicity 8)

Peak list (6 most intense, 10 to 80 degrees two-theta, low angle first)
- 2θ 26.48, 3.366 Å, rel. 74
- 2θ 27.01, 3.301 Å, rel. 65
- 2θ 29.95, 2.983 Å, rel. 93
- 2θ 37.66, 2.389 Å, rel. 100
- 2θ 40.40, 2.233 Å, rel. 39
- 2θ 54.45, 1.685 Å, rel. 44

=====

# 2
Structure and theoretical X-ray powder pattern of YBi2 (DFT lattice parameters and positions (GGA-PBE); copper Kα).
Peak positions follow from Bragg's law for the DFT cell and can differ from measured ones.

abc: 5.8490 5.8306 6.0136
angles: 90.00 118.96 90.00
Space group C2/m (No. 12)
Asymmetric unit:
Y: 0.0000 0.0000 0.0000 (multiplicity 2)
Bi: 0.1524 0.5000 0.3050 (multiplicity 4)

Peak list (6 most intense, 10 to 80 degrees two-theta, low angle first)
- 2θ 23.14, 3.844 Å, rel. 22
- 2θ 30.62, 2.920 Å, rel. 67
- 2θ 33.52, 2.673 Å, rel. 100
- 2θ 43.85, 2.065 Å, rel. 26
- 2θ 56.18, 1.637 Å, rel. 12
- 2θ 56.34, 1.633 Å, rel. 35

=====

# 3
Structure and theoretical X-ray powder pattern of AcTi2AgO6 (DFT lattice parameters and positions (GGA-PBE); copper Kα).
Peak positions follow from Bragg's law for the DFT cell and can differ from measured ones.

abc: 9.6466 11.2579 6.6157
angles: 90.00 116.33 90.00
Space group C2/c (No. 15)
Asymmetric unit:
Ac: 0.0000 0.1041 0.2500 (multiplicity 4)
Ti: 0.1422 0.4285 0.1881 (multiplicity 8)
Ag: 0.0000 0.2520 0.7500 (multiplicity 4)
O: 0.1112 0.2731 0.1158 (multiplicity 8)
O: 0.1110 0.4605 0.4524 (multiplicity 8)
O: 0.1466 0.0571 0.6630 (multiplicity 8)

Peak list (6 most intense, 10 to 80 degrees two-theta, low angle first)
- 2θ 12.91, 6.857 Å, rel. 47
- 2θ 20.55, 4.323 Å, rel. 78
- 2θ 25.01, 3.560 Å, rel. 69
- 2θ 27.57, 3.235 Å, rel. 100
- 2θ 30.14, 2.965 Å, rel. 46
- 2θ 32.29, 2.772 Å, rel. 60

=====

# 4
Structure and theoretical X-ray powder pattern of Sm8AsSe6 (DFT lattice parameters and positions (GGA-PBE); copper Kα).
Peak positions follow from Bragg's law for the DFT cell and can differ from measured ones.

abc: 10.5199 10.5199 4.2350
angles: 90.00 90.00 120.00
Space group P-3 (No. 147)
Asymmetric unit:
Sm: 0.0307 0.7196 0.2599 (multiplicity 6)
Sm: 0.3333 0.6667 0.7461 (multiplicity 2)
As: 0.0000 0.0000 0.5000 (multiplicity 1)
Se: 0.1287 0.4798 0.2462 (multiplicity 6)

Peak list (6 most intense, 10 to 80 degrees two-theta, low angle first)
- 2θ 27.03, 3.299 Å, rel. 57
- 2θ 28.78, 3.102 Å, rel. 49
- 2θ 29.41, 3.037 Å, rel. 77
- 2θ 33.54, 2.672 Å, rel. 100
- 2θ 35.53, 2.527 Å, rel. 37
- 2θ 40.37, 2.234 Å, rel. 58